1.
Structure and simulated powder diffraction line list of Sc3WC4 (a crystal structure in Alexandria, relaxed with GGA-PBE; Cu Kα (λ = 1.5418 Å)).

Crystal structure
abc: 3.4324 4.5680 12.2948
angles: 90.00 90.00 90.00
Sites, in units of the cell vectors:
Sc (0.0000, 0.0000, 0.0000)
Sc (0.0000, 0.5000, 0.1924)
Sc (0.0000, 0.5000, 0.8076)
Sc (0.5000, 0.0000, 0.3076)
Sc (0.5000, 0.0000, 0.6924)
Sc (0.5000, 0.5000, 0.5000)
W (0.0000, 0.0000, 0.5000)
W (0.5000, 0.5000, 0.0000)
C (0.0000, 0.3378, 0.3743)
C (0.0000, 0.3378, 0.6257)
C (0.0000, 0.6622, 0.3743)
C (0.0000, 0.6622, 0.6257)
C (0.5000, 0.1622, 0.1257)
C (0.5000, 0.1622, 0.8743)
C (0.5000, 0.8378, 0.1257)
C (0.5000, 0.8378, 0.8743)

Principal peaks in the range 15 to 90 degrees two-theta, sorted by position:
- 20.74°, I 51
- 26.97°, I 22
- 29.05°, I 19
- 34.07°, I 23
- 35.84°, I 100
- 39.45°, I 20
- 41.72°, I 21
- 44.24°, I 48
- 49.73°, I 15
- 53.10°, I 19

2.
Structure and simulated powder diffraction line list of Y2Sc2C3 (a crystal structure in Alexandria, relaxed with GGA-PBE; Cu Kα (λ = 1.5418 Å)).

Crystal structure
abc: 11.9470 3.5723 6.0740
angles: 90.00 107.19 90.00
Sites, in units of the cell vectors:
Y (0.1189, 0.0000, 0.3718)
Y (0.3811, 0.5000, 0.6282)
Y (0.6189, 0.5000, 0.3718)
Y (0.8811, 0.0000, 0.6282)
Sc (0.1581, 0.5000, 0.8379)
Sc (0.3419, 0.0000, 0.1621)
Sc (0.6581, 0.0000, 0.8379)
Sc (0.8419, 0.5000, 0.1621)
C (0.0000, 0.5000, 0.5000)
C (0.2380, 0.5000, 0.2306)
C (0.2620, 0.0000, 0.7694)
C (0.5000, 0.0000, 0.5000)
C (0.7380, 0.0000, 0.2306)
C (0.7620, 0.5000, 0.7694)

Principal peaks in the range 15 to 90 degrees two-theta, sorted by position:
- 15.27°, I 40
- 30.15°, I 42
- 30.56°, I 23
- 31.35°, I 39
- 31.59°, I 100
- 34.79°, I 99
- 38.75°, I 44
- 41.65°, I 24
- 52.28°, I 28
- 53.81°, I 25

3.
Structure and simulated powder diffraction line list of Y12ScC7 (a crystal structure in Alexandria, relaxed with GGA-PBE; Cu Kα (λ = 1.5418 Å)).

Crystal structure
abc: 8.0925 8.0925 8.0925
angles: 107.68 107.68 107.68
Sites, in units of the cell vectors:
Y (0.0600, 0.1286, 0.3430)
Y (0.1286, 0.3430, 0.0600)
Y (0.1924, 0.5709, 0.7136)
Y (0.2864, 0.8076, 0.4291)
Y (0.3430, 0.0600, 0.1286)
Y (0.4291, 0.2864, 0.8076)
Y (0.5709, 0.7136, 0.1924)
Y (0.6570, 0.9400, 0.8714)
Y (0.7136, 0.1924, 0.5709)
Y (0.8076, 0.4291, 0.2864)
Y (0.8714, 0.6570, 0.9400)
Y (0.9400, 0.8714, 0.6570)
Sc (0.5000, 0.5000, 0.5000)
C (0.0000, 0.0000, 0.0000)
C (0.1528, 0.4622, 0.3869)
C (0.3869, 0.1528, 0.4622)
C (0.4622, 0.3869, 0.1528)
C (0.5378, 0.6131, 0.8472)
C (0.6131, 0.8472, 0.5378)
C (0.8472, 0.5378, 0.6131)

Principal peaks in the range 15 to 90 degrees two-theta, sorted by position:
- 30.24°, I 100
- 30.54°, I 33
- 35.15°, I 86
- 50.36°, I 28
- 50.75°, I 28
- 59.87°, I 12
- 60.05°, I 25
- 60.40°, I 13
- 62.89°, I 13
- 85.23°, I 11